Record 1
The following is a theoretical powder diffraction line list of Li2CuSiO4. It was derived from a structure optimized by DFT (GGA-PBE), using CuKα.

Crystal structure
```
data_Li2CuSiO4
_chemical_formula_sum 'Li4 Cu2 Si2 O8'
_cell_length_a 5.092
_cell_length_b 4.843
_cell_length_c 6.915
_cell_angle_alpha 90.00
_cell_angle_beta 90.24
_cell_angle_gamma 90.00
_space_group_name_H-M_alt 'P 1 21 1'
_space_group_IT_number 4
loop_
_space_group_symop_operation_xyz
'x,y,z'
'-x,y+1/2,-z'
loop_
_atom_site_label
_atom_site_type_symbol
_atom_site_fract_x
_atom_site_fract_y
_atom_site_fract_z
_atom_site_occupancy
Li1 Li 0.175 0.000 0.237 1
Li2 Li 0.189 0.490 0.007 1
Cu1 Cu 0.247 0.513 0.497 1
Si1 Si 0.304 0.986 0.760 1
O1 O 0.179 0.102 0.957 1
O2 O 0.183 0.114 0.551 1
O3 O 0.237 0.650 0.752 1
O4 O 0.374 0.553 0.243 1
```

Largest 10 diffraction maxima, low angle first, 10° ≤ 2θ ≤ 90°:
- hkl 0 0 1, 12.80°, 6.915 Å, rel. 100
- hkl 1 0 1, 21.67°, 4.100 Å, rel. 23
- hkl 0 1 1, 22.41°, 3.967 Å, rel. 27
- hkl 1 1 1, 28.54°, 3.127 Å, rel. 85
- hkl 2 0 0, 35.25°, 2.546 Å, rel. 46
- hkl 1 1 -2, 36.43°, 2.467 Å, rel. 24
- hkl 1 1 2, 36.54°, 2.459 Å, rel. 21
- hkl 0 2 0, 37.13°, 2.421 Å, rel. 40
- hkl 1 1 -3, 47.11°, 1.929 Å, rel. 18
- hkl 1 3 -2, 66.49°, 1.406 Å, rel. 30

=====

Record 2
The following is a theoretical powder diffraction line list of WN. It was derived from a structure optimized by DFT (GGA-PBE), using CuKα.

Crystal structure
```
data_WN
_chemical_formula_sum 'W4 N4'
_cell_length_a 4.674
_cell_length_b 4.674
_cell_length_c 4.674
_cell_angle_alpha 90.00
_cell_angle_beta 90.00
_cell_angle_gamma 90.00
_space_group_name_H-M_alt 'F -4 3 m'
_space_group_IT_number 216
_space_group_name_Hall 'F -4 2 3'
loop_
_atom_site_label
_atom_site_type_symbol
_atom_site_fract_x
_atom_site_fract_y
_atom_site_fract_z
_atom_site_occupancy
W1 W 0.000 0.000 0.000 1
N1 N 0.250 0.250 0.750 1
```

Largest 6 diffraction maxima, low angle first, 10° ≤ 2θ ≤ 90°:
- hkl 1 1 1, 33.20°, 2.699 Å, rel. 100
- hkl 2 0 0, 38.52°, 2.337 Å, rel. 43
- hkl 2 2 0, 55.62°, 1.652 Å, rel. 39
- hkl 3 1 1, 66.33°, 1.409 Å, rel. 41
- hkl 2 2 2, 69.69°, 1.349 Å, rel. 11
- hkl 4 0 0, 82.56°, 1.168 Å, rel. 6

=====

Record 3
The following is a theoretical powder diffraction line list of La2Co2I. It was derived from a structure optimized by DFT (GGA-PBE), using CuKα.

Crystal structure
```
data_La2Co2I
_chemical_formula_sum 'La4 Co4 I2'
_cell_length_a 4.0574
_cell_length_b 4.0574
_cell_length_c 17.9666
_cell_angle_alpha 90.00
_cell_angle_beta 90.00
_cell_angle_gamma 120.00
_space_group_name_H-M_alt 'P 63/m m c'
_space_group_IT_number 194
_space_group_name_Hall '-P 6c 2c'
loop_
_atom_site_label
_atom_site_type_symbol
_atom_site_fract_x
_atom_site_fract_y
_atom_site_fract_z
_atom_site_occupancy
La1 La 0.0000 0.0000 0.1043 1
Co1 Co 0.3333 0.6667 0.0001 1
I1 I 0.3333 0.6667 0.2500 1
```

Largest 10 diffraction maxima, low angle first, 10° ≤ 2θ ≤ 90°:
- hkl 1 0 0, 25.35°, 3.514 Å, rel. 16
- hkl 1 0 1, 25.84°, 3.449 Å, rel. 16
- hkl 1 0 3, 29.47°, 3.031 Å, rel. 11
- hkl 1 0 4, 32.35°, 2.768 Å, rel. 100
- hkl 1 0 6, 39.54°, 2.279 Å, rel. 16
- hkl 0 0 8, 40.15°, 2.246 Å, rel. 11
- hkl 1 1 0, 44.67°, 2.029 Å, rel. 42
- hkl 2 0 4, 56.22°, 1.636 Å, rel. 20
- hkl 1 1 8, 61.61°, 1.505 Å, rel. 17
- hkl 2 1 4, 74.50°, 1.274 Å, rel. 17

=====

Record 4
The following is a theoretical powder diffraction line list of TiS2O8. It was derived from a structure optimized by DFT (GGA-PBE), using CuKα.

Crystal structure
```
data_TiS2O8
_chemical_formula_sum 'Ti9 S18 O72'
_cell_length_a 8.3756
_cell_length_b 8.3756
_cell_length_c 22.4431
_cell_angle_alpha 90.00
_cell_angle_beta 90.00
_cell_angle_gamma 120.00
_space_group_name_H-M_alt 'R 3'
_space_group_IT_number 146
_space_group_name_Hall 'R 3'
loop_
_atom_site_label
_atom_site_type_symbol
_atom_site_fract_x
_atom_site_fract_y
_atom_site_fract_z
_atom_site_occupancy
Ti1 Ti 0.0000 0.0000 0.0000 1
Ti2 Ti 0.0000 0.0000 0.2093 1
Ti3 Ti 0.0000 0.0000 0.4953 1
S1 S 0.0516 0.3830 0.7688 1
S2 S 0.0536 0.6752 0.2714 1
O1 O 0.0112 0.1932 0.1588 1
O2 O 0.0123 0.1952 0.4438 1
O3 O 0.0119 0.8128 0.5468 1
O4 O 0.0760 0.2168 0.0525 1
O5 O 0.0865 0.2363 0.7572 1
O6 O 0.1582 0.6983 0.9240 1
O7 O 0.1805 0.7364 0.6177 1
O8 O 0.1840 0.7513 0.3183 1
```

Largest 10 diffraction maxima, low angle first, 10° ≤ 2θ ≤ 90°:
- hkl 1 0 1, 12.83°, 6.902 Å, rel. 13
- hkl 0 1 2, 14.54°, 6.092 Å, rel. 48
- hkl 1 0 4, 20.01°, 4.438 Å, rel. 21
- hkl 0 0 6, 23.79°, 3.741 Å, rel. 12
- hkl 1 1 3, 24.36°, 3.654 Å, rel. 100
- hkl 0 2 4, 29.32°, 3.046 Å, rel. 24
- hkl 1 1 6, 32.08°, 2.790 Å, rel. 25
- hkl 2 1 1, 32.91°, 2.721 Å, rel. 14
- hkl 3 0 3, 39.16°, 2.301 Å, rel. 9
- hkl 2 1 10, 52.71°, 1.737 Å, rel. 9

=====

Repeat the fourth record exactly.
The following is a theoretical powder diffraction line list of TiS2O8. It was derived from a structure optimized by DFT (GGA-PBE), using CuKα.

Crystal structure
```
data_TiS2O8
_chemical_formula_sum 'Ti9 S18 O72'
_cell_length_a 8.3756
_cell_length_b 8.3756
_cell_length_c 22.4431
_cell_angle_alpha 90.00
_cell_angle_beta 90.00
_cell_angle_gamma 120.00
_space_group_name_H-M_alt 'R 3'
_space_group_IT_number 146
_space_group_name_Hall 'R 3'
loop_
_atom_site_label
_atom_site_type_symbol
_atom_site_fract_x
_atom_site_fract_y
_atom_site_fract_z
_atom_site_occupancy
Ti1 Ti 0.0000 0.0000 0.0000 1
Ti2 Ti 0.0000 0.0000 0.2093 1
Ti3 Ti 0.0000 0.0000 0.4953 1
S1 S 0.0516 0.3830 0.7688 1
S2 S 0.0536 0.6752 0.2714 1
O1 O 0.0112 0.1932 0.1588 1
O2 O 0.0123 0.1952 0.4438 1
O3 O 0.0119 0.8128 0.5468 1
O4 O 0.0760 0.2168 0.0525 1
O5 O 0.0865 0.2363 0.7572 1
O6 O 0.1582 0.6983 0.9240 1
O7 O 0.1805 0.7364 0.6177 1
O8 O 0.1840 0.7513 0.3183 1
```

Largest 10 diffraction maxima, low angle first, 10° ≤ 2θ ≤ 90°:
- hkl 1 0 1, 12.83°, 6.902 Å, rel. 13
- hkl 0 1 2, 14.54°, 6.092 Å, rel. 48
- hkl 1 0 4, 20.01°, 4.438 Å, rel. 21
- hkl 0 0 6, 23.79°, 3.741 Å, rel. 12
- hkl 1 1 3, 24.36°, 3.654 Å, rel. 100
- hkl 0 2 4, 29.32°, 3.046 Å, rel. 24
- hkl 1 1 6, 32.08°, 2.790 Å, rel. 25
- hkl 2 1 1, 32.91°, 2.721 Å, rel. 14
- hkl 3 0 3, 39.16°, 2.301 Å, rel. 9
- hkl 2 1 10, 52.71°, 1.737 Å, rel. 9